Entry 1:
Starting from the PBE geometry in the Materials Project, the powder X-ray diffraction pattern of TbInRh was computed for Cu Kα, 1.54184 Å.
Kinematic intensities with the Lorentz-polarization factor, no thermal factor.

Crystal structure
```
TbInRh
1.0
7.5450 0.0000 0.0000
-3.7725 6.5341 0.0000
0.0000 0.0000 3.9613
Tb In Rh
3 3 3
Cartesian
-2.2362 3.8732 0.0000
1.5363 2.6609 0.0000
4.4724 0.0000 0.0000
-0.9655 1.6723 1.9806
1.9310 0.0000 1.9806
2.8070 4.8619 1.9806
0.0000 0.0000 0.0000
0.0000 4.3561 1.9806
3.7725 2.1780 1.9806
```

Main lines, sorted by position (2θ = 10–90°):
h k l	2θ/deg	I (rel.)
1 1 1	32.78	100
2 0 1	35.62	86
2 1 0	36.38	46
3 0 0	41.46	34
2 1 1	43.17	21
0 0 2	45.81	24
3 1 1	55.78	17
2 1 2	59.86	21
3 0 2	63.48	19
3 2 1	66.72	29



Entry 2:
Starting from the PBE geometry in the Materials Project, the powder X-ray diffraction pattern of KErP2S7 was computed for Cu Kα, 1.54184 Å.
Kinematic intensities with the Lorentz-polarization factor, no thermal factor.

Crystal structure
```
KErP2S7
1.0
9.7088 0.0000 0.0000
0.0000 12.4568 0.0000
-0.0272 0.0000 9.0162
K Er P S
4 4 8 28
Cartesian
1.0617 2.3772 1.1738
1.0480 3.8513 5.6819
8.6336 8.6056 3.3343
8.6200 10.0797 7.8424
3.4650 8.0004 5.4703
3.4786 10.6848 0.9622
6.2030 1.7720 8.0540
6.2166 4.4564 3.5459
2.1729 7.5658 8.8007
2.1865 11.1194 4.2926
3.1179 0.4253 7.2346
3.1315 5.8031 2.7265
6.5501 6.6538 6.2896
6.5637 12.0315 1.7815
7.4951 1.3374 4.7236
7.5087 4.8910 0.2155
1.2823 8.8836 1.0207
1.2687 9.8016 5.5288
1.2877 6.9523 7.0952
1.3013 11.7329 2.5871
1.6881 6.6117 3.8947
1.6745 12.0735 8.4028
2.4822 0.5905 5.1997
2.4958 5.6380 0.6916
3.4365 2.3841 7.6950
3.4501 3.8443 3.1869
3.9317 8.4685 8.2829
3.9453 10.2168 3.7748
4.8278 6.9081 2.9131
4.8142 11.7771 7.4212
4.8674 0.6797 1.5950
4.8538 5.5487 6.1031
5.7364 2.2401 5.2414
5.7500 3.9884 0.7333
6.2315 8.6125 5.8293
6.2451 10.0727 1.3212
7.1858 6.8189 8.3245
7.1994 11.8664 3.8165
8.0071 0.3833 0.6134
7.9935 5.8451 5.1215
8.3803 0.7239 6.4291
8.3940 5.5045 1.9210
8.4129 2.6552 3.4874
8.3993 3.5732 7.9955
```

Main lines, sorted by position (2θ = 10–90°):
h k l	2θ/deg	I (rel.)
1 1 0	11.56	100
0 1 1	12.12	38
1 1 1	15.19	28
0 2 1	17.30	52
1 2 -1	19.59	64
1 1 -2	22.87	34
2 2 1	25.31	84
2 2 -2	30.61	28
3 2 1	32.73	28
1 2 3	34.40	30